This entry pairs a crystal structure of Tl2CuPdS4 with its computed PXRD pattern. Radiation: copper Kα. Structure: DFT lattice parameters and positions (GGA-PBE).
Neutral-atom scattering factors, no anomalous dispersion.

Most intense lines, 2θ from 10° to 90°, low angle first:
2θ = 22.1°, I 55; 2θ = 25.3°, I 41; 2θ = 25.7°, I 74; 2θ = 28.7°, I 100; 2θ = 29.1°, I 64; 2θ = 31.2°, I 57; 2θ = 34.2°, I 90; 2θ = 34.5°, I 87; 2θ = 42.9°, I 47; 2θ = 51.0°, I 49

```
Tl2CuPdS4
1.0
0.0000 6.9290 9.4501
2.8330 0.0000 9.4501
2.8330 6.9290 0.0000
Tl Cu Pd S
4 2 2 8
direct
0.0663 0.0663 0.6837
0.3163 0.3163 0.9337
0.6837 0.6837 0.0663
0.9337 0.9337 0.3163
0.3750 0.3750 0.3750
0.6250 0.6250 0.6250
0.1250 0.1250 0.1250
0.8750 0.8750 0.8750
0.0313 0.3582 0.4113
0.3008 0.5887 0.6418
0.3582 0.0313 0.6992
0.4113 0.6992 0.0313
0.5887 0.3008 0.9687
0.6418 0.9687 0.3008
0.6992 0.4113 0.3582
0.9687 0.6418 0.5887
```

---

This entry pairs a crystal structure of U2CuPdS5 with its computed PXRD pattern. Radiation: copper Kα. Structure: DFT lattice parameters and positions (GGA-PBE).
Neutral-atom scattering factors, no anomalous dispersion.

Most intense lines, 2θ from 10° to 90°, low angle first:
2θ = 21.4°, I 49; 2θ = 24.1°, I 53; 2θ = 27.5°, I 44; 2θ = 28.1°, I 82; 2θ = 29.7°, I 64; 2θ = 29.8°, I 50; 2θ = 33.5°, I 45; 2θ = 35.6°, I 100; 2θ = 40.1°, I 98; 2θ = 53.1°, I 48

```
U2CuPdS5
1.0
3.7949 0.0000 0.0000
0.0000 10.3255 0.0000
-1.8970 0.0000 8.3172
U Cu Pd S
4 2 2 10
direct
0.0951 0.0000 0.1904
0.1390 0.6032 0.2778
0.8610 0.1032 0.7222
0.9049 0.5000 0.8096
0.4216 0.7799 0.8416
0.5784 0.2799 0.1584
0.2036 0.2991 0.4075
0.7964 0.7991 0.5925
0.0080 0.2223 0.0168
0.2769 0.9615 0.5538
0.3144 0.6325 0.6288
0.3571 0.2971 0.7144
0.4675 0.9900 0.9351
0.5325 0.4900 0.0649
0.6429 0.7971 0.2856
0.6856 0.1325 0.3712
0.7231 0.4615 0.4462
0.9920 0.7223 0.9832
```

---

This entry pairs a crystal structure of CuSbPd5 with its computed PXRD pattern. Radiation: copper Kα. Structure: DFT lattice parameters and positions (GGA-PBE).
Neutral-atom scattering factors, no anomalous dispersion.

Most intense lines, 2θ from 10° to 90°, low angle first:
2θ = 19.8°, I 20; 2θ = 37.6°, I 27; 2θ = 39.2°, I 41; 2θ = 40.2°, I 44; 2θ = 40.7°, I 100; 2θ = 41.0°, I 47; 2θ = 41.1°, I 21; 2θ = 44.8°, I 37; 2θ = 51.3°, I 26; 2θ = 71.3°, I 21

```
CuSbPd5
1.0
3.5615 -2.8923 0.0000
3.5615 2.8923 0.0000
0.0000 0.0000 11.3234
Cu Sb Pd
2 2 10
direct
0.0976 0.9024 0.7500
0.9024 0.0976 0.2500
0.5000 0.5000 0.0000
0.5000 0.5000 0.5000
0.0437 0.3785 0.6175
0.0437 0.3785 0.8825
0.3785 0.0437 0.1175
0.3785 0.0437 0.3825
0.4667 0.5333 0.2500
0.5333 0.4667 0.7500
0.6215 0.9563 0.6175
0.6215 0.9563 0.8825
0.9563 0.6215 0.1175
0.9563 0.6215 0.3825
```